The following is a calculated powder diffractogram of Tb6Pb3C. It was derived from the GGA-PBE geometry in Alexandria, using Cu Kα (weighted mean of Kα1 and Kα2).
Lines closer than 0.1° are merged.

```
data_Tb6Pb3C
_chemical_formula_sum 'Tb6 Pb3 C1'
_space_group_name_H-M_alt 'P 1'
_space_group_IT_number 1
_cell_length_a 6.8013
_cell_length_b 6.8013
_cell_length_c 7.5329
_cell_angle_alpha 104.99
_cell_angle_beta 104.99
_cell_angle_gamma 60.06
loop_
_space_group_symop_operation_xyz
'x,y,z'
loop_
_atom_site_label
_atom_site_fract_x
_atom_site_fract_y
_atom_site_fract_z
_atom_site_occupancy
Tb1 0.1497 0.6517 0.6313 1
Tb2 0.1702 0.1702 0.8069 1
Tb3 0.3483 0.8503 0.3687 1
Tb4 0.6517 0.1497 0.6313 1
Tb5 0.8298 0.8298 0.1931 1
Tb6 0.8503 0.3483 0.3687 1
Pb1 0.3167 0.3167 0.2561 1
Pb2 0.5000 0.5000 0.0000 1
Pb3 0.6833 0.6833 0.7439 1
C1 0.0000 0.0000 0.5000 1
```

Peak list (6 most intense, 2θ = 5–70°, by intensity)
two_theta, I/Imax
35.00, 100
30.50, 92
33.36, 64
36.59, 64
29.03, 51
36.09, 46